# 1
This entry pairs a crystal structure of Li2VO2F with its theoretical PXRD pattern. Radiation: CuKα. Structure: a GGA+U-relaxed structure.

Crystal structure
```
data_Li2VO2F
_chemical_formula_sum 'Li8 V4 O8 F4'
_cell_length_a 15.3687
_cell_length_b 2.9696
_cell_length_c 5.1310
_cell_angle_alpha 90.00
_cell_angle_beta 109.07
_cell_angle_gamma 90.00
_space_group_name_H-M_alt 'C 1 2/c 1'
_space_group_IT_number 15
loop_
_space_group_symop_operation_xyz
'x,y,z'
'-x,-y,-z'
'-x,y,-z+1/2'
'x,-y,z+1/2'
'x+1/2,y+1/2,z'
'-x+1/2,-y+1/2,-z'
'-x+1/2,y+1/2,-z+1/2'
'x+1/2,-y+1/2,z+1/2'
loop_
_atom_site_label
_atom_site_type_symbol
_atom_site_fract_x
_atom_site_fract_y
_atom_site_fract_z
Li1 Li 0.1699 0.2500 0.2532
V1 V 0.0000 0.2491 0.7500
O1 O 0.0782 0.2521 0.4969
F1 F 0.2500 0.2500 0.0000
```

Peak list (10 most intense, 5° ≤ 2θ ≤ 70°, low angle first)
| 2theta | I_rel | index |
| --- | --- | --- |
| 12.19 | 100 | 2 0 0 |
| 24.51 | 27 | 4 0 0 |
| 34.93 | 26 | 1 1 -1 |
| 37.06 | 11 | 1 1 1 |
| 43.04 | 53 | 3 1 1 |
| 43.20 | 8 | 5 1 -1 |
| 43.34 | 24 | 6 0 -2 |
| 62.47 | 10 | 6 0 2 |
| 62.56 | 7 | 0 2 0 |
| 62.73 | 26 | 3 1 -3 |

# 2
This entry pairs a crystal structure of LiV2OF5 with its theoretical PXRD pattern. Radiation: CuKα. Structure: a GGA+U-relaxed structure.

Crystal structure
```
data_LiV2OF5
_chemical_formula_sum 'Li3 V6 O3 F15'
_cell_length_a 8.7384
_cell_length_b 8.7384
_cell_length_c 4.5757
_cell_angle_alpha 90.00
_cell_angle_beta 90.00
_cell_angle_gamma 120.00
_space_group_name_H-M_alt 'P 3'
_space_group_IT_number 143
loop_
_space_group_symop_operation_xyz
'x,y,z'
'-y,x-y,z'
'-x+y,-x,z'
loop_
_atom_site_label
_atom_site_type_symbol
_atom_site_fract_x
_atom_site_fract_y
_atom_site_fract_z
Li1 Li 0.0000 0.0000 0.0000
Li2 Li 0.3333 0.6667 0.4910
Li3 Li 0.6667 0.3333 0.0180
V1 V 0.0197 0.3605 0.0378
V2 V 0.3400 0.3316 0.5081
O1 O 0.0922 0.5545 0.2844
F1 F 0.1063 0.8828 0.2607
F2 F 0.2187 0.7793 0.7598
F3 F 0.2362 0.1097 0.7827
F4 F 0.4418 0.2099 0.2582
F5 F 0.5479 0.4360 0.7845
```

Peak list (10 most intense, 5° ≤ 2θ ≤ 70°, low angle first)
| 2theta | I_rel | index |
| --- | --- | --- |
| 20.33 | 37 | 1 1 0 |
| 28.24 | 100 | 2 -1 1 |
| 35.59 | 7 | 3 0 0 |
| 40.85 | 44 | 3 0 1 |
| 44.71 | 7 | 1 1 2 |
| 46.04 | 22 | 2 2 1 |
| 54.12 | 44 | 0 3 2 |
| 59.51 | 18 | 5 -1 1 |
| 63.92 | 20 | 3 3 0 |
| 64.74 | 7 | 2 -1 3 |

# 3
This entry pairs a crystal structure of LiV2OF7 with its theoretical PXRD pattern. Radiation: CuKα. Structure: a GGA+U-relaxed structure.

Crystal structure
```
data_LiV2OF7
_chemical_formula_sum 'Li2 V4 O2 F14'
_cell_length_a 10.0197
_cell_length_b 6.0725
_cell_length_c 6.2463
_cell_angle_alpha 90.00
_cell_angle_beta 128.36
_cell_angle_gamma 90.00
_space_group_name_H-M_alt 'C 1 m 1'
_space_group_IT_number 8
loop_
_space_group_symop_operation_xyz
'x,y,z'
'x,-y,z'
'x+1/2,y+1/2,z'
'x+1/2,-y+1/2,z'
loop_
_atom_site_label
_atom_site_type_symbol
_atom_site_fract_x
_atom_site_fract_y
_atom_site_fract_z
Li1 Li 0.0000 0.0000 0.0000
V1 V 0.4001 0.2560 0.4243
O1 O 0.4010 0.5000 0.6088
F1 F 0.1254 0.2586 0.6256
F2 F 0.1665 0.2366 0.1761
F3 F 0.3943 0.0000 0.2121
F4 F 0.3973 0.5000 0.2007
F5 F 0.3989 0.0000 0.6213
```

Peak list (10 most intense, 5° ≤ 2θ ≤ 70°, low angle first)
| 2theta | I_rel | index |
| --- | --- | --- |
| 18.14 | 100 | 0 0 1 |
| 22.64 | 18 | 2 0 0 |
| 28.58 | 14 | 2 0 -2 |
| 29.42 | 8 | 0 2 0 |
| 34.78 | 18 | 0 2 1 |
| 37.24 | 8 | 4 0 -1 |
| 41.48 | 34 | 2 2 -2 |
| 46.22 | 12 | 4 0 0 |
| 54.71 | 14 | 2 2 -3 |
| 63.91 | 7 | 6 2 -2 |

# 4
This entry pairs a crystal structure of Li5V2OF11 with its theoretical PXRD pattern. Radiation: CuKα. Structure: a GGA+U-relaxed structure.

Crystal structure
```
data_Li5V2OF11
_chemical_formula_sum 'Li10 V4 O2 F22'
_cell_length_a 5.5877
_cell_length_b 8.9101
_cell_length_c 9.1432
_cell_angle_alpha 79.92
_cell_angle_beta 84.50
_cell_angle_gamma 73.05
_space_group_name_H-M_alt 'P 1'
_space_group_IT_number 1
loop_
_space_group_symop_operation_xyz
'x,y,z'
loop_
_atom_site_label
_atom_site_type_symbol
_atom_site_fract_x
_atom_site_fract_y
_atom_site_fract_z
Li1 Li 0.0000 0.0000 0.0000
Li2 Li 0.0098 0.1337 0.3371
Li3 Li 0.2394 0.5548 0.7379
Li4 Li 0.3012 0.5832 0.0891
Li5 Li 0.4594 0.0049 0.5390
Li6 Li 0.4908 0.1342 0.8837
Li7 Li 0.6183 0.9038 0.2008
Li8 Li 0.7436 0.5367 0.2335
Li9 Li 0.7914 0.6002 0.5845
Li10 Li 0.9046 0.2271 0.6306
V1 V 0.1023 0.7600 0.3567
V2 V 0.4269 0.3717 0.4667
V3 V 0.6027 0.7649 0.8612
V4 V 0.9341 0.3737 0.9699
O1 O 0.3325 0.5683 0.3413
O2 O 0.8368 0.5687 0.8448
F1 F 0.0508 0.4695 0.1098
F2 F 0.0517 0.1755 0.1060
F3 F 0.0798 0.7929 0.1443
F4 F 0.0837 0.7126 0.5672
F5 F 0.1075 0.4082 0.5741
F6 F 0.1181 0.0806 0.5349
F7 F 0.2599 0.3433 0.8710
F8 F 0.3199 0.8890 0.3332
F9 F 0.3322 0.9631 0.8756
F10 F 0.3369 0.6650 0.8789
F11 F 0.3643 0.2454 0.3513
F12 F 0.5432 0.4712 0.6076
F13 F 0.5636 0.1801 0.6114
F14 F 0.5725 0.7950 0.6489
F15 F 0.6025 0.7277 0.0769
F16 F 0.6266 0.4208 0.0839
F17 F 0.6563 0.0566 0.0536
F18 F 0.7631 0.3414 0.3790
F19 F 0.8153 0.8877 0.8383
F20 F 0.8260 0.6657 0.3640
F21 F 0.8261 0.9533 0.3596
F22 F 0.8551 0.2517 0.8442
```

Peak list (10 most intense, 5° ≤ 2θ ≤ 70°, low angle first)
| 2theta | I_rel | index |
| --- | --- | --- |
| 10.51 | 50 | 0 1 0 |
| 18.40 | 95 | 1 1 1 |
| 19.74 | 100 | 0 0 2 |
| 20.89 | 74 | 1 1 -1 |
| 21.10 | 35 | 0 2 0 |
| 24.56 | 43 | 1 -1 1 |
| 31.30 | 41 | 0 2 -2 |
| 39.53 | 31 | 2 3 0 |
| 40.10 | 61 | 2 0 -2 |
| 40.46 | 59 | 0 3 -2 |

# 5
This entry pairs a crystal structure of LiVOF4 with its theoretical PXRD pattern. Radiation: CuKα. Structure: a GGA+U-relaxed structure.

Crystal structure
```
data_LiVOF4
_chemical_formula_sum 'Li4 V4 O4 F16'
_cell_length_a 3.6216
_cell_length_b 10.2146
_cell_length_c 10.2456
_cell_angle_alpha 90.00
_cell_angle_beta 90.00
_cell_angle_gamma 90.00
_space_group_name_H-M_alt 'C m c 21'
_space_group_IT_number 36
loop_
_space_group_symop_operation_xyz
'x,y,z'
'-x,-y,z+1/2'
'-x,y,z'
'x,-y,z+1/2'
'x+1/2,y+1/2,z'
'-x+1/2,-y+1/2,z+1/2'
'-x+1/2,y+1/2,z'
'x+1/2,-y+1/2,z+1/2'
loop_
_atom_site_label
_atom_site_type_symbol
_atom_site_fract_x
_atom_site_fract_y
_atom_site_fract_z
Li1 Li 0.0000 0.1165 0.0000
V1 V 0.0000 0.1902 0.3093
O1 O 0.0000 0.3009 0.8223
F1 F 0.0000 0.0555 0.4295
F2 F 0.0000 0.0643 0.1823
F3 F 0.0000 0.3076 0.1783
F4 F 0.0000 0.3226 0.4447
```

Peak list (10 most intense, 5° ≤ 2θ ≤ 70°, low angle first)
| 2theta | I_rel | index |
| --- | --- | --- |
| 17.33 | 100 | 0 0 2 |
| 19.42 | 48 | 0 2 1 |
| 24.61 | 31 | 0 2 2 |
| 26.11 | 17 | 1 1 0 |
| 27.54 | 86 | 1 1 1 |
| 31.51 | 23 | 0 2 3 |
| 44.29 | 37 | 0 4 3 |
| 50.39 | 18 | 2 0 0 |
| 51.27 | 23 | 1 3 4 |
| 69.31 | 15 | 2 4 3 |

# 6
This entry pairs a crystal structure of LiV5O7F with its theoretical PXRD pattern. Radiation: CuKα. Structure: a GGA+U-relaxed structure.

Crystal structure
```
data_LiV5O7F
_chemical_formula_sum 'Li4 V20 O28 F4'
_cell_length_a 10.5015
_cell_length_b 6.1372
_cell_length_c 10.4507
_cell_angle_alpha 90.00
_cell_angle_beta 109.86
_cell_angle_gamma 90.00
_space_group_name_H-M_alt 'C 1 m 1'
_space_group_IT_number 8
loop_
_space_group_symop_operation_xyz
'x,y,z'
'x,-y,z'
'x+1/2,y+1/2,z'
'x+1/2,-y+1/2,z'
loop_
_atom_site_label
_atom_site_type_symbol
_atom_site_fract_x
_atom_site_fract_y
_atom_site_fract_z
Li1 Li 0.0000 0.0000 0.0000
Li2 Li 0.0010 0.5000 0.4993
V1 V 0.1829 0.0000 0.5686
V2 V 0.1924 0.2488 0.8361
V3 V 0.1928 0.5000 0.0705
V4 V 0.1972 0.2521 0.3333
V5 V 0.3768 0.5000 0.6488
V6 V 0.3829 0.0000 0.1490
V7 V 0.4392 0.0000 0.8338
V8 V 0.4436 0.5000 0.3349
O1 O 0.0632 0.2700 0.9374
O2 O 0.0769 0.0000 0.7097
O3 O 0.0789 0.2374 0.4458
O4 O 0.0840 0.5000 0.2123
O5 O 0.2988 0.0000 0.4390
O6 O 0.3002 0.5000 0.9327
O7 O 0.3094 0.2286 0.7075
O8 O 0.3129 0.0000 0.9490
O9 O 0.3132 0.2601 0.2079
O10 O 0.3151 0.5000 0.4518
F1 F 0.0658 0.5000 0.7083
F2 F 0.0709 0.0000 0.2067
```

Peak list (10 most intense, 5° ≤ 2θ ≤ 70°, low angle first)
| 2theta | I_rel | index |
| --- | --- | --- |
| 17.77 | 65 | 1 1 -1 |
| 18.01 | 77 | 0 0 2 |
| 20.69 | 33 | 1 1 1 |
| 34.43 | 83 | 0 2 2 |
| 34.64 | 62 | 3 1 -3 |
| 34.81 | 100 | 3 1 1 |
| 42.05 | 87 | 2 2 2 |
| 42.16 | 43 | 4 0 -4 |
| 60.94 | 47 | 6 2 -2 |
| 61.19 | 44 | 2 2 -6 |

# 7
This entry pairs a crystal structure of Li2VOF5 with its theoretical PXRD pattern. Radiation: CuKα. Structure: a GGA+U-relaxed structure.

Crystal structure
```
data_Li2VOF5
_chemical_formula_sum 'Li4 V2 O2 F10'
_cell_length_a 6.1408
_cell_length_b 6.4153
_cell_length_c 6.3874
_cell_angle_alpha 90.00
_cell_angle_beta 90.00
_cell_angle_gamma 90.00
_space_group_name_H-M_alt 'I m m 2'
_space_group_IT_number 44
loop_
_space_group_symop_operation_xyz
'x,y,z'
'-x,-y,z'
'-x,y,z'
'x,-y,z'
'x+1/2,y+1/2,z+1/2'
'-x+1/2,-y+1/2,z+1/2'
'-x+1/2,y+1/2,z+1/2'
'x+1/2,-y+1/2,z+1/2'
loop_
_atom_site_label
_atom_site_type_symbol
_atom_site_fract_x
_atom_site_fract_y
_atom_site_fract_z
Li1 Li 0.2365 0.0000 0.0000
V1 V 0.0000 0.5000 0.9677
O1 O 0.0000 0.5000 0.2231
F1 F 0.0000 0.2014 0.9446
F2 F 0.0000 0.5000 0.6379
F3 F 0.2116 0.0000 0.4113
```

Peak list (10 most intense, 5° ≤ 2θ ≤ 70°, low angle first)
| 2theta | I_rel | index |
| --- | --- | --- |
| 19.61 | 37 | 0 1 1 |
| 20.04 | 100 | 1 0 1 |
| 27.81 | 25 | 0 2 0 |
| 27.94 | 24 | 0 0 2 |
| 29.08 | 14 | 2 0 0 |
| 44.69 | 11 | 0 3 1 |
| 44.87 | 21 | 1 3 0 |
| 45.07 | 12 | 1 0 3 |
| 46.58 | 20 | 3 1 0 |
| 61.46 | 7 | 0 3 3 |

# 8
This entry pairs a crystal structure of Li2VO2F with its theoretical PXRD pattern. Radiation: CuKα. Structure: a GGA+U-relaxed structure.

Crystal structure
```
data_Li2VO2F
_chemical_formula_sum 'Li8 V4 O8 F4'
_cell_length_a 5.1530
_cell_length_b 6.5171
_cell_length_c 7.2108
_cell_angle_alpha 110.82
_cell_angle_beta 90.91
_cell_angle_gamma 104.84
_space_group_name_H-M_alt 'P 1'
_space_group_IT_number 1
loop_
_space_group_symop_operation_xyz
'x,y,z'
loop_
_atom_site_label
_atom_site_type_symbol
_atom_site_fract_x
_atom_site_fract_y
_atom_site_fract_z
Li1 Li 0.0000 0.0000 0.0000
Li2 Li 0.0821 0.7504 0.5833
Li3 Li 0.1679 0.5007 0.1669
Li4 Li 0.3342 0.0024 0.3363
Li5 Li 0.5010 0.4989 0.5011
Li6 Li 0.5852 0.2507 0.0841
Li7 Li 0.6667 0.0024 0.6670
Li8 Li 0.8339 0.5003 0.8320
V1 V 0.2720 0.2450 0.7454
V2 V 0.3929 0.7584 0.9252
V3 V 0.7760 0.7438 0.2415
V4 V 0.8930 0.2574 0.4245
O1 O 0.0031 0.0127 0.4977
O2 O 0.0837 0.7505 0.0854
O3 O 0.1688 0.4937 0.6718
O4 O 0.3324 0.0000 0.8312
O5 O 0.5004 0.5082 0.9952
O6 O 0.5870 0.2503 0.5831
O7 O 0.6637 0.9893 0.1695
O8 O 0.8358 0.5011 0.3344
F1 F 0.2295 0.2561 0.2558
F2 F 0.4400 0.7432 0.4097
F3 F 0.7313 0.7590 0.7583
F4 F 0.9357 0.2449 0.9131
```

Peak list (10 most intense, 5° ≤ 2θ ≤ 70°, low angle first)
| 2theta | I_rel | index |
| --- | --- | --- |
| 15.99 | 57 | 0 1 -1 |
| 21.03 | 100 | 1 0 -1 |
| 23.62 | 64 | 1 0 1 |
| 26.65 | 30 | 0 0 2 |
| 30.49 | 50 | 1 -1 2 |
| 30.58 | 50 | 0 2 0 |
| 42.82 | 92 | 2 0 -2 |
| 43.51 | 95 | 1 1 2 |
| 43.94 | 90 | 1 -3 2 |
| 62.69 | 48 | -1 1 4 |